For Ti5Nb2Ir2Rh, a crystal structure in Alexandria, relaxed with GGA-PBE gives the simulated powder X-ray diffraction pattern in this record (Cu Kα (λ = 1.5418 Å)).

Atomic structure:
```
Ti5Nb2Ir2Rh
1.0
10.6259 0.0000 0.0000
0.0000 10.6259 0.0000
0.0000 0.0000 3.0279
Ti Nb Ir Rh
10 4 4 2
direct
0.0000 0.5000 0.0000 Ti
0.0434 0.1970 0.0000 Ti
0.1970 0.9566 0.0000 Ti
0.3030 0.4566 0.0000 Ti
0.4566 0.6970 0.0000 Ti
0.5000 0.0000 0.0000 Ti
0.5434 0.3030 0.0000 Ti
0.6970 0.5434 0.0000 Ti
0.8030 0.0434 0.0000 Ti
0.9566 0.8030 0.0000 Ti
0.1748 0.6748 0.5000 Nb
0.3252 0.1748 0.5000 Nb
0.6748 0.8252 0.5000 Nb
0.8252 0.3252 0.5000 Nb
0.1368 0.3632 0.5000 Ir
0.3632 0.8632 0.5000 Ir
0.6368 0.1368 0.5000 Ir
0.8632 0.6368 0.5000 Ir
0.0000 0.0000 0.5000 Rh
0.5000 0.5000 0.5000 Rh
```

Main lines, sorted by position (2θ from 5° to 70°):
Position (°2θ), d (Å), I (rel.), h k l
18.7, 4.752, 41, 2 1 0
26.5, 3.360, 52, 3 1 0
35.9, 2.505, 35, 3 3 0
40.1, 2.249, 100, 3 1 1
42.8, 2.112, 28, 3 2 1
61.2, 1.513, 27, 0 0 2